No. 1
Diffraction record for Sm3Mg2MoS8. The powder diffractogram is calculated, not measured: it uses a crystal structure in the Materials Project, relaxed with PBE and CuKα.

Structural model:
Cell: 7.777 7.777 7.777 Å, 61.49 61.49 61.49°
Element x y z (fractional)
1 Sm 0.000 0.500 0.500
2 Sm 0.500 0.000 0.500
3 Sm 0.500 0.500 0.000
4 Mg 0.125 0.125 0.125
5 Mg 0.875 0.875 0.875
6 Mo 0.500 0.500 0.500
7 S 0.253 0.253 0.253
8 S 0.265 0.732 0.732
9 S 0.268 0.268 0.735
10 S 0.268 0.735 0.268
11 S 0.732 0.265 0.732
12 S 0.732 0.732 0.265
13 S 0.735 0.268 0.268
14 S 0.747 0.747 0.747

Principal peaks in the range 2θ from 10° to 80°, low angle first:
2θ 13.69, d 6.468, intensity 76; 2θ 14.11, d 6.278, intensity 34; 2θ 26.31, d 3.387, intensity 46; 2θ 26.54, d 3.359, intensity 43; 2θ 26.98, d 3.305, intensity 23; 2θ 27.58, d 3.234, intensity 20; 2θ 32.21, d 2.779, intensity 100; 2θ 42.20, d 2.141, intensity 19; 2θ 45.63, d 1.988, intensity 47; 2θ 46.74, d 1.943, intensity 43

No. 2
Diffraction record for MgTe4Mo2W2S4. The powder diffractogram is calculated, not measured: it uses a crystal structure in the Materials Project, relaxed with PBE and CuKα.

Structural model:
Cell: 3.354 3.354 38.269 Å, 90.00 90.00 60.00°
Element x y z (fractional)
1 Mg 0.000 0.000 0.000
2 Te 0.637 0.722 0.731
3 Te 0.637 0.722 0.829
4 Te 0.970 0.055 0.167
5 Te 0.970 0.055 0.266
6 Mo 0.637 0.722 0.592
7 Mo 0.970 0.055 0.780
8 W 0.637 0.722 0.216
9 W 0.970 0.055 0.404
10 S 0.637 0.722 0.365
11 S 0.637 0.722 0.444
12 S 0.970 0.055 0.553
13 S 0.970 0.055 0.632

Principal peaks in the range 2θ from 10° to 80°, low angle first:
2θ 11.56, d 7.654, intensity 100; 2θ 13.88, d 6.378, intensity 18; 2θ 30.80, d 2.903, intensity 44; 2θ 31.14, d 2.872, intensity 12; 2θ 32.98, d 2.716, intensity 14; 2θ 36.18, d 2.483, intensity 85; 2θ 38.92, d 2.314, intensity 22; 2θ 43.78, d 2.068, intensity 40; 2θ 54.73, d 1.677, intensity 26; 2θ 67.38, d 1.390, intensity 14

No. 3
Diffraction record for MgTe4MoW2S2. The powder diffractogram is calculated, not measured: it uses a crystal structure in the Materials Project, relaxed with PBE and CuKα.

Structural model:
Cell: 3.415 3.415 38.187 Å, 91.85 91.85 59.93°
Element x y z (fractional)
1 Mg 0.000 0.000 0.000
2 Te 0.009 0.009 0.179
3 Te 0.010 0.010 0.711
4 Te 0.986 0.986 0.081
5 Te 0.987 0.987 0.613
6 Mo 0.331 0.331 0.130
7 W 0.012 0.012 0.884
8 W 0.332 0.332 0.662
9 S 0.336 0.336 0.845
10 S 0.355 0.355 0.923

Principal peaks in the range 2θ from 10° to 80°, low angle first:
2θ 11.59, d 7.632, intensity 87; 2θ 30.24, d 2.955, intensity 100; 2θ 33.68, d 2.661, intensity 32; 2θ 34.80, d 2.578, intensity 28; 2θ 38.89, d 2.316, intensity 31; 2θ 39.28, d 2.294, intensity 33; 2θ 39.70, d 2.271, intensity 47; 2θ 40.47, d 2.229, intensity 43; 2θ 40.84, d 2.210, intensity 25; 2θ 53.72, d 1.706, intensity 65

No. 4
Diffraction record for MgTe4Mo2W2S4. The powder diffractogram is calculated, not measured: it uses a crystal structure in the Materials Project, relaxed with PBE and CuKα.

Structural model:
Cell: 3.352 3.352 38.289 Å, 90.00 90.00 60.00°
Element x y z (fractional)
1 Mg 0.000 0.000 0.000
2 Te 0.640 0.640 0.732
3 Te 0.640 0.640 0.831
4 Te 0.974 0.974 0.169
5 Te 0.974 0.974 0.268
6 Mo 0.974 0.974 0.406
7 Mo 0.974 0.974 0.782
8 W 0.640 0.640 0.218
9 W 0.640 0.640 0.594
10 S 0.640 0.640 0.367
11 S 0.640 0.640 0.446
12 S 0.974 0.974 0.554
13 S 0.974 0.974 0.634

Principal peaks in the range 2θ from 10° to 80°, low angle first:
2θ 11.56, d 7.658, intensity 100; 2θ 13.88, d 6.382, intensity 16; 2θ 30.83, d 2.901, intensity 45; 2θ 33.00, d 2.714, intensity 15; 2θ 33.93, d 2.642, intensity 13; 2θ 36.19, d 2.482, intensity 86; 2θ 38.94, d 2.313, intensity 22; 2θ 43.79, d 2.067, intensity 40; 2θ 54.78, d 1.676, intensity 25; 2θ 67.43, d 1.389, intensity 14

No. 5
Diffraction record for MgTe4Mo2W2S4. The powder diffractogram is calculated, not measured: it uses a crystal structure in the Materials Project, relaxed with PBE and CuKα.

Structural model:
Cell: 3.361 3.361 44.006 Å, 90.00 90.00 120.00°
Element x y z (fractional)
1 Mg 0.000 0.000 0.000
2 Te 0.333 0.667 0.248
3 Te 0.333 0.667 0.334
4 Te 0.667 0.333 0.684
5 Te 0.667 0.333 0.770
6 Mo 0.333 0.667 0.727
7 Mo 0.667 0.333 0.910
8 W 0.333 0.667 0.110
9 W 0.667 0.333 0.291
10 S 0.333 0.667 0.876
11 S 0.333 0.667 0.945
12 S 0.667 0.333 0.075
13 S 0.667 0.333 0.144

Principal peaks in the range 2θ from 10° to 80°, low angle first:
2θ 10.05, d 8.801, intensity 100; 2θ 12.07, d 7.334, intensity 20; 2θ 30.74, d 2.908, intensity 25; 2θ 32.40, d 2.763, intensity 13; 2θ 34.88, d 2.572, intensity 41; 2θ 37.03, d 2.427, intensity 21; 2θ 40.89, d 2.207, intensity 38; 2θ 43.82, d 2.066, intensity 11; 2θ 54.62, d 1.680, intensity 16; 2θ 55.71, d 1.650, intensity 12

No. 6
Diffraction record for MgTe4Mo2WS2. The powder diffractogram is calculated, not measured: it uses a crystal structure in the Materials Project, relaxed with PBE and CuKα.

Structural model:
Cell: 3.406 3.406 31.676 Å, 90.00 90.00 60.00°
Element x y z (fractional)
1 Mg 0.000 0.000 0.000
2 Te 0.353 0.353 0.211
3 Te 0.353 0.353 0.329
4 Te 0.353 0.353 0.673
5 Te 0.353 0.353 0.791
6 Mo 0.686 0.686 0.270
7 Mo 0.686 0.686 0.732
8 W 0.353 0.353 0.501
9 S 0.686 0.686 0.453
10 S 0.686 0.686 0.548

Principal peaks in the range 2θ from 10° to 80°, low angle first:
2θ 11.17, d 7.919, intensity 100; 2θ 16.79, d 5.279, intensity 15; 2θ 30.30, d 2.949, intensity 47; 2θ 30.44, d 2.937, intensity 14; 2θ 34.84, d 2.575, intensity 51; 2θ 36.36, d 2.471, intensity 65; 2θ 41.85, d 2.159, intensity 21; 2θ 43.94, d 2.060, intensity 41; 2θ 53.85, d 1.702, intensity 31; 2θ 58.60, d 1.575, intensity 15